The following is a calculated powder diffraction line list of YAl7Cu5. It was derived from a PBE-relaxed structure, using Cu Kα X-rays.

```
YAl7Cu5
1.0
-2.5459 4.3838 4.3330
2.5459 -4.3838 4.3330
2.5459 4.3838 -4.3330
Y Al Cu
1 7 5
Direct
0.0000 0.0000 0.0000
0.2190 0.5073 0.7117
0.3418 0.9932 0.3487
0.3448 0.3448 0.0000
0.6445 0.9932 0.6513
0.6503 0.6503 0.0000
0.7771 0.2771 0.5000
0.7956 0.5073 0.2883
0.0002 0.0040 0.4992
0.0002 0.5010 0.9962
0.2233 0.7233 0.5000
0.5048 0.0040 0.0038
0.5048 0.5010 0.5008
```

Top 12 peaks for 2θ = 10–80°, by angle:
| 2θ (°) | d/Å | I (rel.) |
| --- | --- | --- |
| 14.4 | 6.163 | 240 |
| 20.5 | 4.333 | 401 |
| 28.9 | 3.085 | 664 |
| 41.0 | 2.202 | 790 |
| 41.2 | 2.194 | 1000 |
| 41.3 | 2.188 | 473 |
| 41.4 | 2.180 | 374 |
| 41.7 | 2.167 | 472 |
| 46.3 | 1.963 | 709 |
| 46.4 | 1.956 | 250 |
| 59.9 | 1.544 | 264 |
| 75.7 | 1.256 | 217 |